Structure and theoretical X-ray diffraction stick pattern of FeCo5 (a structure optimized by DFT (GGA-PBE); Cu Kα, 1.54184 Å).
Kinematic intensities with the Lorentz-polarization factor, no thermal factor.

The 3 most intense peaks (15° ≤ 2θ ≤ 90°), in order of falling intensity:
| Position (°2θ) | I_rel | h k l |
| --- | --- | --- |
| 45.53 | 100 | 1 1 0 |
| 84.17 | 29 | 3 0 0 |
| 66.36 | 15 | 0 2 2 |

Atomic structure:
a = 3.9834 Å, b = 3.9834 Å, c = 4.8823 Å
α = 90.00°, β = 90.00°, γ = 120.00°
Fractional positions:
Fe: 0.0000 0.0000 0.0000
Co: 0.0000 0.0000 0.5000
Co: 0.3333 0.6667 0.3459
Co: 0.3333 0.6667 0.8419
Co: 0.6667 0.3333 0.1581
Co: 0.6667 0.3333 0.6541